1.
Structure and theoretical X-ray powder pattern of USO6 (the PBE geometry in the Materials Project; λ = 1.5418 Å (Cu Kα)).
Intensities are scaled so that the largest is 100.

Crystal structure
```
32
Lattice="11.953 0.000 0.000 0.000 5.521 0.000 0.000 0.000 6.902" Properties=species:S:1:pos:R:3 pbc="T T T"
U 0.693 1.380 0.786
U 5.283 4.140 4.237
U 6.670 1.380 2.665
U 11.259 4.140 6.116
S 1.619 4.140 3.045
S 4.357 1.380 6.496
S 7.595 4.140 0.406
S 10.334 1.380 3.857
O 0.381 4.140 3.812
O 0.945 0.009 6.184
O 0.945 2.751 6.184
O 1.652 2.936 2.130
O 1.652 5.345 2.130
O 2.813 4.140 3.883
O 3.163 1.380 0.432
O 4.324 0.176 5.581
O 4.324 2.585 5.581
O 5.032 2.769 2.733
O 5.032 5.512 2.733
O 5.595 1.380 0.361
O 6.357 4.140 6.541
O 6.921 0.009 4.169
O 6.921 2.751 4.169
O 7.629 2.936 1.321
O 7.629 5.345 1.321
O 8.789 4.140 6.470
O 9.140 1.380 3.019
O 10.300 0.176 4.772
O 10.300 2.585 4.772
O 11.008 2.769 0.718
O 11.008 5.512 0.718
O 11.572 1.380 3.090
```

Top 10 peaks for 2θ from 10° to 90°, in order of falling intensity:
two_theta	intensity
14.82	100
31.47	47
21.92	40
30.55	29
20.60	28
19.65	24
34.12	22
25.48	21
35.83	16
47.99	16

2.
Structure and theoretical X-ray powder pattern of US2O17 (the PBE geometry in the Materials Project; λ = 1.5418 Å (Cu Kα)).
Intensities are scaled so that the largest is 100.

Crystal structure
```
40
Lattice="7.278 0.000 0.000 0.000 12.501 0.000 -0.855 0.000 7.566" Properties=species:S:1:pos:R:3 pbc="T T T"
U 1.121 3.125 1.458
U 5.302 9.376 6.108
S 2.179 6.493 5.534
S 2.179 12.260 5.534
S 4.245 0.242 2.032
S 4.245 6.009 2.032
O 0.428 1.841 0.039
O 0.428 4.409 0.039
O 0.508 2.011 2.905
O 0.508 4.240 2.905
O 0.683 8.775 1.678
O 0.683 9.978 1.678
O 0.209 9.376 6.470
O 1.366 6.768 4.337
O 1.366 11.985 4.337
O 1.423 6.857 6.764
O 1.423 11.895 6.764
O 2.559 3.125 0.344
O 2.456 3.125 3.423
O 2.479 1.208 5.658
O 2.479 5.043 5.658
O 2.958 0.987 2.102
O 2.958 5.264 2.102
O 3.466 7.238 5.464
O 3.466 11.514 5.464
O 3.945 7.459 1.908
O 3.945 11.294 1.908
O 3.967 9.376 4.143
O 3.865 9.376 7.223
O 5.000 0.606 0.802
O 5.000 5.644 0.802
O 5.058 0.517 3.230
O 5.058 5.734 3.230
O 6.214 3.125 1.096
O 5.740 2.524 5.889
O 5.740 3.727 5.889
O 5.915 8.262 4.661
O 5.915 10.491 4.661
O 5.995 8.092 7.528
O 5.995 10.660 7.528
```

Top 10 peaks for 2θ from 10° to 90°, in order of falling intensity:
two_theta	intensity
13.68	100
14.15	95
21.41	72
18.76	44
24.64	34
28.54	32
22.90	32
15.97	27
31.34	22
23.52	15

3.
Structure and theoretical X-ray powder pattern of Y4US5O3 (the PBE geometry in the Materials Project; λ = 1.5418 Å (Cu Kα)).
Intensities are scaled so that the largest is 100.

Crystal structure
```
52
Lattice="3.871 0.000 0.000 0.000 14.022 0.000 0.000 0.000 18.626" Properties=species:S:1:pos:R:3 pbc="T T T"
Y 0.000 1.280 2.002
Y 0.000 1.476 12.595
Y 0.000 4.911 7.456
Y 0.000 5.085 14.696
Y 0.000 5.103 3.168
Y 0.000 8.521 9.186
Y 0.000 12.102 0.000
Y 0.000 12.106 7.113
Y 1.935 1.920 9.313
Y 1.935 1.916 16.426
Y 1.935 5.501 18.499
Y 1.935 8.918 12.481
Y 1.935 8.936 5.383
Y 1.935 9.111 16.769
Y 1.935 12.546 3.282
Y 1.935 12.741 11.315
U 0.000 8.351 1.092
U 0.000 11.913 14.288
U 1.935 2.109 4.975
U 1.935 5.671 10.405
S 0.000 0.551 15.238
S 0.000 2.195 7.175
S 0.000 3.421 10.681
S 0.000 3.706 17.209
S 0.000 6.662 12.452
S 0.000 7.543 6.579
S 0.000 9.212 14.591
S 0.000 10.415 11.153
S 0.000 10.703 4.603
S 0.000 13.662 9.349
S 1.935 0.360 0.036
S 1.935 3.319 13.916
S 1.935 3.607 1.840
S 1.935 4.810 5.279
S 1.935 6.478 15.892
S 1.935 7.360 3.139
S 1.935 10.316 7.896
S 1.935 10.601 1.368
S 1.935 11.826 16.488
S 1.935 13.471 5.925
O 0.000 2.533 4.041
O 0.000 6.058 0.959
O 0.000 6.246 9.347
O 0.000 9.518 17.846
O 0.000 13.027 2.203
O 0.000 13.227 12.527
O 1.935 0.794 3.214
O 1.935 0.995 11.515
O 1.935 4.504 8.534
O 1.935 7.776 0.034
O 1.935 7.964 10.271
O 1.935 11.489 13.354
```

Top 10 peaks for 2θ from 10° to 90°, in order of falling intensity:
two_theta	intensity
27.11	100
37.51	77
28.02	69
27.15	68
25.41	56
11.41	53
30.71	51
46.95	39
35.80	38
31.51	36

4.
Structure and theoretical X-ray powder pattern of Y2S2O (the PBE geometry in the Materials Project; λ = 1.5418 Å (Cu Kα)).
Intensities are scaled so that the largest is 100.

Crystal structure
```
20
Lattice="8.319 0.000 0.000 0.000 6.924 0.000 -1.120 0.000 6.811" Properties=species:S:1:pos:R:3 pbc="T T T"
Y 0.273 0.997 2.189
Y -0.287 2.465 5.595
Y 2.730 3.840 1.705
Y 2.171 6.547 5.111
Y 5.028 0.377 1.700
Y 4.469 3.085 5.106
Y 7.486 4.460 1.216
Y 6.926 5.927 4.622
S 0.854 4.386 3.932
S 1.414 6.000 0.526
S 3.009 1.547 3.199
S 2.449 1.915 6.605
S 4.750 5.009 0.207
S 4.190 5.378 3.612
S 5.785 0.924 6.285
S 6.345 2.538 2.879
O 0.247 0.605 4.424
O 0.807 2.857 1.019
O 6.392 4.067 5.793
O 6.952 6.319 2.387
```

Top 10 peaks for 2θ from 10° to 90°, in order of falling intensity:
two_theta	intensity
30.09	100
28.93	59
26.77	47
38.73	35
20.14	35
41.61	35
39.23	34
26.17	32
29.22	30
35.07	28

5.
Structure and theoretical X-ray powder pattern of ZnSO4 (the PBE geometry in the Materials Project; λ = 1.5418 Å (Cu Kα)).
Intensities are scaled so that the largest is 100.

Crystal structure
```
6
Lattice="0.000 3.929 3.929 3.929 0.000 3.929 3.929 3.929 0.000" Properties=species:S:1:pos:R:3 pbc="T T T"
Zn 0.000 0.000 0.000
S 5.894 5.894 5.894
O 6.745 5.044 5.044
O 5.044 6.745 5.044
O 5.044 5.044 6.745
O 6.745 6.745 6.745
```

Top 10 peaks for 2θ from 10° to 90°, in order of falling intensity:
two_theta	intensity
19.56	100
32.22	39
50.63	21
57.45	13
37.97	11
70.95	10
67.41	8
88.94	6
39.73	6
61.29	5

6.
Structure and theoretical X-ray powder pattern of Zn4SO13 (the PBE geometry in the Materials Project; λ = 1.5418 Å (Cu Kα)).
Intensities are scaled so that the largest is 100.

Crystal structure
```
36
Lattice="8.092 0.000 0.000 -3.956 7.222 0.000 -1.764 -3.562 9.184" Properties=species:S:1:pos:R:3 pbc="T T T"
Zn -1.628 0.876 4.479
Zn 0.539 -1.253 4.600
Zn -1.015 3.852 4.519
Zn 1.206 1.811 2.746
Zn 1.166 1.850 6.439
Zn 3.387 -0.191 4.666
Zn 1.834 4.914 4.584
Zn 4.001 2.785 4.705
S -2.750 4.184 1.702
S 5.123 -0.523 7.483
O -4.493 4.567 5.497
O -1.779 3.063 1.412
O -2.908 4.239 3.212
O -2.173 5.452 1.228
O -2.234 2.552 5.419
O -1.679 -0.227 8.119
O 0.950 1.196 0.775
O -0.613 2.309 3.258
O 0.123 -2.618 9.034
O 0.018 0.545 5.604
O 1.590 0.157 3.685
O 2.297 -1.710 5.452
O 3.082 1.234 0.106
O -0.709 2.427 9.078
O 0.076 5.370 3.733
O 0.782 3.503 5.500
O 2.355 3.115 3.581
O 2.249 6.279 0.150
O 2.986 1.351 5.926
O 1.423 2.464 8.409
O 4.052 3.888 1.066
O 4.606 1.108 3.765
O 4.546 -1.792 7.956
O 5.281 -0.579 5.973
O 4.151 0.597 7.772
O 6.865 -0.906 3.688
```

Top 10 peaks for 2θ from 10° to 90°, in order of falling intensity:
two_theta	intensity
19.33	100
34.57	53
36.58	51
33.54	51
25.96	50
27.18	43
34.11	43
36.61	41
34.43	38
27.70	33